# Na15Cd
Simulated powder diffractogram, CuKα. Input: the GGA-PBE geometry in Alexandria.
No peak broadening, texture or thermal motion is included.

Top 10 peaks for 2θ from 15° to 90°, by angle:
d 5.605, intensity 26.9; d 4.350, intensity 12.7; d 3.174, intensity 25.7; d 2.986, intensity 25.7; d 2.803, intensity 100.0; d 2.175, intensity 17.1; d 1.832, intensity 17.7; d 1.687, intensity 20.9; d 1.562, intensity 19.4; d 1.534, intensity 15.8

Atomic structure:
```
data_Na15Cd
_chemical_formula_sum 'Na15 Cd1'
_space_group_name_H-M_alt 'P -6 m 2'
_space_group_IT_number 187
_space_group_name_Hall 'P -6 2'
_cell_length_a 7.3296
_cell_length_b 7.3296
_cell_length_c 11.9452
_cell_angle_alpha 90.00
_cell_angle_beta 90.00
_cell_angle_gamma 120.00
loop_
_atom_site_label
_atom_site_fract_x
_atom_site_fract_y
_atom_site_fract_z
Na1 0.0000 0.0000 0.0000
Na2 0.0041 0.5020 0.5000
Na3 0.3244 0.1622 0.2619
Na4 0.3333 0.6667 0.2453
Na5 0.5019 0.0039 0.0000
Cd1 0.0000 0.0000 0.5000
```